# AcPm2Nd4Sm
Theoretical powder XRD pattern, CuKα. Input: a cell relaxed with GGA-PBE.

Largest 10 diffraction maxima, low angle first, 10 to 80 degrees two-theta:
d/Å  2theta  I_rel
3.399  26.22  73
3.061  29.17  100
3.031  29.47  55
2.275  39.62  87
2.262  39.85  48
1.756  52.09  20
1.560  59.24  27
1.486  62.51  22
1.482  62.68  12
1.396  67.06  14

Cell and atoms:
a b c (Å): 14.0386 13.5954 7.0937
angles (deg): 90.00 120.28 90.00
Space group C2/c (No. 15)
Unique sites:
Ac  0.2500  0.2500  0.0000 [4 per cell]
Pm  0.0000  0.0000  0.0000 [4 per cell]
Pm  0.2500  0.2500  0.5000 [4 per cell]
Nd  0.9999  0.2506  0.0155 [8 per cell]
Nd  0.2495  0.4918  0.4458 [8 per cell]
Sm  0.0000  0.5000  0.0000 [4 per cell]